(1)
This entry pairs a crystal structure of Na3Ce3AuSe8 with its computed X-ray diffraction stick pattern. Radiation: CuKα. Structure: DFT lattice parameters and positions (PBE).
Peak positions follow from Bragg's law for the DFT cell and can differ from measured ones.

Principal peaks in the range 10° ≤ 2θ ≤ 90°, in order of rising 2θ:
Position (°2θ)  d (Å)  I (rel.)  hkl
12.70  6.972  80  0 0 1
24.81  3.589  30  2 2 -1
29.89  2.989  100  2 2 -2
30.43  2.937  45  4 0 0
38.98  2.310  12  2 2 -3
42.58  2.123  52  0 4 0
42.95  2.106  18  4 0 -4
43.79  2.067  33  6 2 -2
45.78  1.982  14  6 2 -1
53.26  1.720  17  4 4 0
62.11  1.495  12  4 4 -4
70.69  1.333  14  6 2 -6

Structural model:
Cell lengths 14.204, 8.486, 8.429 Å; angles 90.00, 124.19, 90.00 degrees
Space group C2/m (No. 12)
Unique sites:
Na 0.000 0.000 0.000 x2
Na 0.250 0.250 0.000 x4
Ce 0.000 0.500 0.500 x2
Ce 0.250 0.250 0.500 x4
Au 0.000 0.000 0.500 x2
Se 0.009 0.268 0.261 x8
Se 0.220 0.000 0.710 x4
Se 0.248 0.500 0.738 x4

***

(2)
This entry pairs a crystal structure of CeNd3Au7 with its computed X-ray diffraction stick pattern. Radiation: CuKα. Structure: DFT lattice parameters and positions (PBE).
Peak positions follow from Bragg's law for the DFT cell and can differ from measured ones.

Principal peaks in the range 10° ≤ 2θ ≤ 90°, in order of rising 2θ:
Position (°2θ)  d (Å)  I (rel.)  hkl
23.39  3.803  38  1 1 0
31.53  2.838  100  1 1 3
33.57  2.669  70  1 5 2
36.23  2.480  30  1 7 0
36.72  2.447  24  1 1 4
36.89  2.437  32  0 6 4
38.15  2.359  58  0 8 3
42.16  2.143  31  1 7 3
42.37  2.133  33  0 0 6
44.14  2.052  29  1 3 5
47.12  1.929  40  2 0 0
62.17  1.493  28  2 8 3

Structural model:
Cell lengths 3.857, 22.658, 12.792 Å; angles 90.00, 90.00, 90.00 degrees
Space group Cmcm (No. 63)
Unique sites:
Ce 0.000 0.004 0.250 x4
Nd 0.000 0.143 0.559 x8
Nd 0.000 0.188 0.250 x4
Au 0.000 0.278 0.569 x8
Au 0.000 0.381 0.250 x4
Au 0.000 0.403 0.634 x8
Au 0.000 0.462 0.079 x8

***

(3)
This entry pairs a crystal structure of Ce2NdAu4 with its computed X-ray diffraction stick pattern. Radiation: CuKα. Structure: DFT lattice parameters and positions (PBE).
Peak positions follow from Bragg's law for the DFT cell and can differ from measured ones.

Principal peaks in the range 10° ≤ 2θ ≤ 90°, in order of rising 2θ:
Position (°2θ)  d (Å)  I (rel.)  hkl
23.43  3.798  15  1 1 0
26.36  3.382  15  1 0 3
33.37  2.685  71  2 0 0
36.29  2.476  100  1 1 4
43.01  2.103  8  2 1 3
43.64  2.074  9  2 0 4
47.91  1.899  26  2 2 0
61.55  1.507  44  3 1 4
67.10  1.395  12  2 0 8
70.09  1.343  8  4 0 0
79.88  1.201  12  4 2 0
81.57  1.180  10  3 3 4

Structural model:
Cell lengths 5.371, 5.371, 13.059 Å; angles 90.00, 90.00, 90.00 degrees
Space group I4/mmm (No. 139)
Unique sites:
Ce 0.000 0.000 0.220 x4
Nd 0.000 0.000 0.500 x2
Au 0.000 0.500 0.121 x8

***

(4)
This entry pairs a crystal structure of Ce2NdSi2Au2 with its computed X-ray diffraction stick pattern. Radiation: CuKα. Structure: DFT lattice parameters and positions (PBE).
Peak positions follow from Bragg's law for the DFT cell and can differ from measured ones.

Principal peaks in the range 10° ≤ 2θ ≤ 90°, in order of rising 2θ:
Position (°2θ)  d (Å)  I (rel.)  hkl
26.84  3.322  48  1 0 4
28.50  3.132  75  0 1 5
32.56  2.750  100  1 0 7
34.88  2.572  36  0 1 8
41.51  2.176  98  1 1 0
42.70  2.117  26  0 1 11
48.49  1.877  20  0 0 15
51.13  1.787  19  2 0 5
53.72  1.706  24  0 2 7
65.70  1.421  38  1 1 15
70.09  1.343  22  2 1 7
71.50  1.319  20  0 1 20

Structural model:
Cell lengths 4.3510, 4.3510, 28.1585 Å; angles 90.00, 90.00, 120.00 degrees
Space group R-3m (No. 166, hexagonal axes)
Unique sites:
Ce 0.0000 0.0000 0.1417 x6
Nd 0.0000 0.0000 0.0000 x3
Si 0.0000 0.0000 0.2570 x6
Au 0.0000 0.0000 0.4046 x6

***

(5)
This entry pairs a crystal structure of CeNi9Au2 with its computed X-ray diffraction stick pattern. Radiation: CuKα. Structure: DFT lattice parameters and positions (PBE).
Peak positions follow from Bragg's law for the DFT cell and can differ from measured ones.

Principal peaks in the range 10° ≤ 2θ ≤ 90°, in order of rising 2θ:
Position (°2θ)  d (Å)  I (rel.)  hkl
24.31  3.661  18  2 1 0
30.65  2.917  38  2 1 1
34.65  2.589  29  3 1 0
37.27  2.412  24  0 0 2
39.50  2.281  100  3 1 1
43.55  2.078  22  2 0 2
44.08  2.055  60  3 2 1
45.00  2.014  85  2 1 2
45.69  1.986  26  4 1 0
48.30  1.884  18  4 0 1
68.72  1.366  20  3 1 3
70.45  1.337  19  5 1 2

Structural model:
Cell lengths 8.187, 8.187, 4.825 Å; angles 90.00, 90.00, 90.00 degrees
Space group P4/mbm (No. 127)
Unique sites:
Ce 0.000 0.000 0.000 x2
Ni 0.000 0.500 0.500 x2
Ni 0.065 0.207 0.500 x8
Ni 0.177 0.677 0.247 x8
Au 0.122 0.378 0.000 x4

***

(6)
This entry pairs a crystal structure of Ce2P2AuO with its computed X-ray diffraction stick pattern. Radiation: CuKα. Structure: DFT lattice parameters and positions (PBE).
Peak positions follow from Bragg's law for the DFT cell and can differ from measured ones.

Principal peaks in the range 10° ≤ 2θ ≤ 90°, in order of rising 2θ:
Position (°2θ)  d (Å)  I (rel.)  hkl
18.03  4.919  30  2 0 -2
27.83  3.206  100  3 1 -1
28.31  3.152  64  4 0 -3
29.06  3.072  87  3 1 -2
30.94  2.890  35  4 0 0
31.54  2.836  59  3 1 0
35.95  2.498  31  2 0 2
36.06  2.491  29  6 0 -3
38.11  2.361  71  1 1 -3
38.95  2.312  30  5 1 -1
43.18  2.095  47  0 2 0
46.80  1.941  29  4 0 -5

Structural model:
Cell lengths 15.140, 4.190, 9.838 Å; angles 90.00, 130.22, 90.00 degrees
Space group C2/m (No. 12)
Unique sites:
Ce 0.132 0.000 0.313 x4
Ce 0.170 0.000 0.730 x4
P 0.048 0.500 0.451 x4
P 0.152 0.000 0.037 x4
Au 0.085 0.500 0.878 x4
O 0.227 0.500 0.374 x4

***

(7)
This entry pairs a crystal structure of CeSnAuO with its computed X-ray diffraction stick pattern. Radiation: CuKα. Structure: DFT lattice parameters and positions (PBE).
Peak positions follow from Bragg's law for the DFT cell and can differ from measured ones.

Principal peaks in the range 10° ≤ 2θ ≤ 90°, in order of rising 2θ:
Position (°2θ)  d (Å)  I (rel.)  hkl
10.46  8.458  56  0 0 2
31.74  2.819  100  1 0 3
38.38  2.346  47  1 0 5
39.14  2.301  40  1 1 0
42.77  2.114  12  0 0 8
51.24  1.783  11  1 1 6
56.55  1.627  17  2 0 0
59.35  1.557  18  1 1 8
66.32  1.409  29  2 1 3
67.35  1.390  11  1 0 11
70.42  1.337  16  2 1 5
73.42  1.290  10  2 0 8

Structural model:
Cell lengths 3.255, 3.255, 16.916 Å; angles 90.00, 90.00, 90.00 degrees
Space group I4mm (No. 107)
Unique sites:
Ce 0.000 0.000 0.000 x2
Sn 0.000 0.000 0.741 x2
Au 0.000 0.000 0.356 x2
O 0.000 0.000 0.536 x2

***

(8)
This entry pairs a crystal structure of CePrOsAu with its computed X-ray diffraction stick pattern. Radiation: CuKα. Structure: DFT lattice parameters and positions (PBE).
Peak positions follow from Bragg's law for the DFT cell and can differ from measured ones.

Principal peaks in the range 10° ≤ 2θ ≤ 90°, in order of rising 2θ:
Position (°2θ)  d (Å)  I (rel.)  hkl
24.70  3.605  3  2 0 0
35.21  2.549  100  2 2 0
43.48  2.081  1  2 2 2
50.64  1.802  18  4 0 0
57.13  1.612  1  4 2 0
63.18  1.472  37  4 2 2
74.44  1.275  12  4 4 0
79.82  1.202  1  6 0 0
85.10  1.140  17  6 2 0

Structural model:
Cell lengths 7.210, 7.210, 7.210 Å; angles 90.00, 90.00, 90.00 degrees
Space group F-43m (No. 216)
Unique sites:
Ce 0.000 0.000 0.000 x4
Pr 0.000 0.000 0.500 x4
Os 0.250 0.250 0.250 x4
Au 0.250 0.250 0.750 x4